This entry pairs a crystal structure of BeCo2Bi with its theoretical powder XRD pattern. Radiation: Cu Kα, 1.54184 Å. Structure: a crystal structure in OQMD, relaxed with GGA-PBE.
Intensities are scaled so that the largest is 100.

a b c (Å): 5.997 5.997 5.997
angles (deg): 90.00 90.00 90.00
Space group F-43m (No. 216)
Inequivalent atoms, fractional coordinates:
Be: 0.000 0.000 0.000 [4 per cell]
Co: 0.000 0.000 0.500 [4 per cell]
Co: 0.250 0.250 0.750 [4 per cell]
Bi: 0.250 0.250 0.250 [4 per cell]

Most intense lines, 2θ = 10–90°, sorted by position:
| d (Å) | Position (°2θ) | I_rel | h k l |
| --- | --- | --- | --- |
| 3.462 | 25.73 | 52 | 1 1 1 |
| 2.998 | 29.80 | 46 | 2 0 0 |
| 2.120 | 42.64 | 100 | 2 2 0 |
| 1.808 | 50.47 | 27 | 3 1 1 |
| 1.341 | 70.19 | 17 | 4 2 0 |
| 1.224 | 78.07 | 33 | 4 2 2 |

---

This entry pairs a crystal structure of BeCoReBi with its theoretical powder XRD pattern. Radiation: Cu Kα, 1.54184 Å. Structure: a crystal structure in OQMD, relaxed with GGA-PBE.
Intensities are scaled so that the largest is 100.

a b c (Å): 6.177 6.177 6.177
angles (deg): 90.00 90.00 90.00
Space group F-43m (No. 216)
Inequivalent atoms, fractional coordinates:
Be: 0.000 0.000 0.000 [4 per cell]
Co: 0.250 0.250 0.750 [4 per cell]
Re: 0.250 0.250 0.250 [4 per cell]
Bi: 0.000 0.000 0.500 [4 per cell]

Most intense lines, 2θ = 10–90°, sorted by position:
| d (Å) | Position (°2θ) | I_rel | h k l |
| --- | --- | --- | --- |
| 3.567 | 24.97 | 64 | 1 1 1 |
| 2.184 | 41.34 | 100 | 2 2 0 |
| 1.863 | 48.90 | 33 | 3 1 1 |
| 1.544 | 59.89 | 17 | 4 0 0 |
| 1.417 | 65.91 | 14 | 3 3 1 |
| 1.261 | 75.38 | 35 | 4 2 2 |

---

This entry pairs a crystal structure of BeCu2Bi with its theoretical powder XRD pattern. Radiation: Cu Kα, 1.54184 Å. Structure: a crystal structure in OQMD, relaxed with GGA-PBE.
Intensities are scaled so that the largest is 100.

a b c (Å): 6.329 6.329 6.329
angles (deg): 90.00 90.00 90.00
Space group Pm-3m (No. 221)
Inequivalent atoms, fractional coordinates:
Be: 0.000 0.000 0.000 [1 per cell]
Be: 0.000 0.000 0.500 [3 per cell]
Cu: 0.201 0.201 0.201 [8 per cell]
Bi: 0.000 0.500 0.500 [3 per cell]
Bi: 0.500 0.500 0.500 [1 per cell]

Most intense lines, 2θ = 10–90°, sorted by position:
| d (Å) | Position (°2θ) | I_rel | h k l |
| --- | --- | --- | --- |
| 3.654 | 24.36 | 28 | 1 1 1 |
| 2.831 | 31.61 | 74 | 2 1 0 |
| 2.238 | 40.30 | 100 | 2 2 0 |
| 2.110 | 42.86 | 29 | 3 0 0 |
| 1.535 | 60.29 | 25 | 3 2 2 |
| 1.292 | 73.27 | 23 | 4 2 2 |

---

This entry pairs a crystal structure of BeFe2Bi with its theoretical powder XRD pattern. Radiation: Cu Kα, 1.54184 Å. Structure: a crystal structure in OQMD, relaxed with GGA-PBE.
Intensities are scaled so that the largest is 100.

a b c (Å): 6.225 6.225 6.225
angles (deg): 90.00 90.00 90.00
Space group Pm-3m (No. 221)
Inequivalent atoms, fractional coordinates:
Be: 0.000 0.000 0.000 [1 per cell]
Be: 0.000 0.000 0.500 [3 per cell]
Fe: 0.199 0.199 0.199 [8 per cell]
Bi: 0.000 0.500 0.500 [3 per cell]
Bi: 0.500 0.500 0.500 [1 per cell]

Most intense lines, 2θ = 10–90°, sorted by position:
| d (Å) | Position (°2θ) | I_rel | h k l |
| --- | --- | --- | --- |
| 6.225 | 14.23 | 28 | 1 0 0 |
| 3.594 | 24.77 | 31 | 1 1 1 |
| 2.784 | 32.15 | 78 | 2 1 0 |
| 2.201 | 41.01 | 100 | 2 2 0 |
| 2.075 | 43.62 | 31 | 3 0 0 |
| 1.510 | 61.41 | 25 | 3 2 2 |

---

This entry pairs a crystal structure of BeNbFeBi with its theoretical powder XRD pattern. Radiation: Cu Kα, 1.54184 Å. Structure: a crystal structure in OQMD, relaxed with GGA-PBE.
Intensities are scaled so that the largest is 100.

a b c (Å): 6.338 6.338 6.338
angles (deg): 90.00 90.00 90.00
Space group F-43m (No. 216)
Inequivalent atoms, fractional coordinates:
Be: 0.000 0.000 0.000 [4 per cell]
Nb: 0.250 0.250 0.750 [4 per cell]
Fe: 0.000 0.000 0.500 [4 per cell]
Bi: 0.250 0.250 0.250 [4 per cell]

Most intense lines, 2θ = 10–90°, sorted by position:
| d (Å) | Position (°2θ) | I_rel | h k l |
| --- | --- | --- | --- |
| 3.659 | 24.32 | 27 | 1 1 1 |
| 3.169 | 28.16 | 53 | 2 0 0 |
| 2.241 | 40.25 | 100 | 2 2 0 |
| 1.584 | 58.23 | 17 | 4 0 0 |
| 1.417 | 65.91 | 21 | 4 2 0 |
| 1.294 | 73.15 | 34 | 4 2 2 |

---

This entry pairs a crystal structure of SrBeBiIr with its theoretical powder XRD pattern. Radiation: Cu Kα, 1.54184 Å. Structure: a crystal structure in OQMD, relaxed with GGA-PBE.
Intensities are scaled so that the largest is 100.

a b c (Å): 7.007 7.007 7.007
angles (deg): 90.00 90.00 90.00
Space group F-43m (No. 216)
Inequivalent atoms, fractional coordinates:
Sr: 0.000 0.000 0.000 [4 per cell]
Be: 0.000 0.000 0.500 [4 per cell]
Bi: 0.250 0.250 0.750 [4 per cell]
Ir: 0.250 0.250 0.250 [4 per cell]

Most intense lines, 2θ = 10–90°, sorted by position:
| d (Å) | Position (°2θ) | I_rel | h k l |
| --- | --- | --- | --- |
| 3.503 | 25.42 | 46 | 2 0 0 |
| 2.477 | 36.26 | 100 | 2 2 0 |
| 1.752 | 52.22 | 18 | 4 0 0 |
| 1.567 | 58.95 | 19 | 4 2 0 |
| 1.430 | 65.23 | 37 | 4 2 2 |
| 1.108 | 88.19 | 17 | 6 2 0 |